No. 1
Simulated PXRD pattern of LiV2P3O10 for Cu Kα, 1.54184 Å, from a crystal structure in Alexandria, relaxed with GGA+U.
Kinematic intensities with the Lorentz-polarization factor, no thermal factor.

Most intense lines, 10° ≤ 2θ ≤ 80°, sorted by position:
20.32 deg, intensity 25
24.78 deg, intensity 30
25.55 deg, intensity 26
28.04 deg, intensity 100
30.92 deg, intensity 36
33.07 deg, intensity 41
35.98 deg, intensity 19
42.84 deg, intensity 20

Cell and atoms:
```
data_LiV2P3O10
_symmetry_space_group_name_H-M 'P 1 21/m 1'
_symmetry_Int_Tables_number 11
_symmetry_space_group_name_Hall '-P 2yb'
_cell_length_a 4.684
_cell_length_b 8.737
_cell_length_c 9.200
_cell_angle_alpha 90.00
_cell_angle_beta 97.35
_cell_angle_gamma 90.00
loop_
_atom_site_label
_atom_site_type_symbol
_atom_site_fract_x
_atom_site_fract_y
_atom_site_fract_z
Li1 Li 0.000 0.000 0.000
V1 V 0.031 0.069 0.334
P1 P 0.329 0.250 0.823
P2 P 0.404 0.750 0.463
P3 P 0.458 0.250 0.138
O1 O 0.159 0.103 0.816
O2 O 0.236 0.603 0.484
O3 O 0.245 0.750 0.769
O4 O 0.286 0.103 0.152
O5 O 0.295 0.250 0.449
O6 O 0.443 0.750 0.291
O7 O 0.449 0.750 0.028
```


No. 2
Simulated PXRD pattern of LiVP4O12 for Cu Kα, 1.54184 Å, from a crystal structure in Alexandria, relaxed with GGA+U.
Kinematic intensities with the Lorentz-polarization factor, no thermal factor.

Most intense lines, 10° ≤ 2θ ≤ 80°, sorted by position:
15.56 deg, intensity 83
15.77 deg, intensity 51
16.33 deg, intensity 45
19.35 deg, intensity 31
23.80 deg, intensity 35
23.94 deg, intensity 100
26.75 deg, intensity 54
28.28 deg, intensity 62

Cell and atoms:
```
data_LiVP4O12
_symmetry_space_group_name_H-M 'P 1 21 1'
_symmetry_Int_Tables_number 4
_symmetry_space_group_name_Hall 'P 2yb'
_cell_length_a 7.439
_cell_length_b 8.584
_cell_length_c 7.615
_cell_angle_alpha 90.00
_cell_angle_beta 92.30
_cell_angle_gamma 90.00
loop_
_atom_site_label
_atom_site_type_symbol
_atom_site_fract_x
_atom_site_fract_y
_atom_site_fract_z
Li1 Li 0.213 0.000 0.009
V1 V 0.242 0.769 0.650
P1 P 0.135 0.356 0.168
P2 P 0.140 0.385 0.552
P3 P 0.395 0.581 0.012
P4 P 0.434 0.146 0.633
O1 O 0.042 0.805 0.463
O2 O 0.066 0.888 0.821
O3 O 0.141 0.541 0.639
O4 O 0.194 0.204 0.101
O5 O 0.206 0.500 0.057
O6 O 0.227 0.392 0.362
O7 O 0.279 0.275 0.660
O8 O 0.343 0.706 0.881
O9 O 0.349 0.988 0.631
O10 O 0.442 0.674 0.193
O11 O 0.454 0.691 0.518
O12 O 0.464 0.968 0.029
```